# 1
Diffraction record for PmNdDyCd. The X-ray diffraction stick pattern is calculated, not measured: it uses the GGA-PBE geometry in Alexandria and CuKα.

```
PmNdDyCd
1.0
3.6682 0.0000 0.0000
0.0000 3.6682 0.0000
0.0000 0.0000 9.0981
Pm Nd Dy Cd
1 1 1 1
Direct
0.0000 0.0000 0.0000
0.5000 0.5000 0.2816
0.0000 0.0000 0.5546
0.5000 0.5000 0.7682
```

Peak list (8 most intense, 10 to 90 degrees two-theta, in order of rising 2θ)
2θ = 31.3°, I 100; 2θ = 34.6°, I 41; 2θ = 39.6°, I 11; 2θ = 49.7°, I 15; 2θ = 53.6°, I 18; 2θ = 59.9°, I 31; 2θ = 65.4°, I 10; 2θ = 83.3°, I 7

---

# 2
Diffraction record for LiHo2US5. The X-ray diffraction stick pattern is calculated, not measured: it uses the GGA-PBE geometry in Alexandria and CuKα.

```
LiHo2US5
1.0
1.9256 -8.0809 0.0000
1.9256 8.0809 0.0000
0.0000 0.0000 11.8021
Li Ho U S
2 4 2 10
Direct
0.0158 0.9842 0.5000
0.9842 0.0158 0.0000
0.3744 0.6256 0.3186
0.3914 0.6086 0.7121
0.6086 0.3914 0.2121
0.6256 0.3744 0.8186
0.3006 0.6994 0.0287
0.6994 0.3006 0.5287
0.0017 0.9983 0.8059
0.1337 0.8663 0.0273
0.1894 0.8106 0.3653
0.2122 0.7878 0.6916
0.4531 0.5469 0.0978
0.5469 0.4531 0.5978
0.7878 0.2122 0.1916
0.8106 0.1894 0.8653
0.8663 0.1337 0.5273
0.9983 0.0017 0.3059
```

Peak list (8 most intense, 10 to 90 degrees two-theta, in order of rising 2θ)
2θ = 18.6°, I 32; 2θ = 23.3°, I 29; 2θ = 23.8°, I 33; 2θ = 25.2°, I 47; 2θ = 28.5°, I 30; 2θ = 33.0°, I 100; 2θ = 34.1°, I 32; 2θ = 39.5°, I 67

---

# 3
Diffraction record for Sm2Dy4Mg. The X-ray diffraction stick pattern is calculated, not measured: it uses the GGA-PBE geometry in Alexandria and CuKα.

```
Sm2Dy4Mg
1.0
6.0393 0.0000 0.0000
0.0000 6.5428 0.0000
-2.9986 0.0000 11.0906
Sm Dy Mg
4 8 2
Direct
0.1056 0.2500 0.0037
0.2178 0.2500 0.5760
0.7822 0.7500 0.4240
0.8944 0.7500 0.9963
0.1449 0.5005 0.2865
0.1449 0.9995 0.2865
0.3549 0.7500 0.5588
0.4728 0.7500 0.1245
0.5272 0.2500 0.8755
0.6451 0.2500 0.4412
0.8551 0.0005 0.7135
0.8551 0.4995 0.7135
0.3443 0.7500 0.8329
0.6557 0.2500 0.1671
```

Peak list (8 most intense, 10 to 90 degrees two-theta, in order of rising 2θ)
2θ = 28.4°, I 27; 2θ = 29.6°, I 33; 2θ = 31.8°, I 55; 2θ = 31.9°, I 100; 2θ = 33.4°, I 66; 2θ = 33.7°, I 55; 2θ = 43.9°, I 24; 2θ = 66.1°, I 25

---

# 4
Diffraction record for NdTlCdTe3. The X-ray diffraction stick pattern is calculated, not measured: it uses the GGA-PBE geometry in Alexandria and CuKα.

```
NdTlCdTe3
1.0
9.5648 0.0000 0.0000
0.0000 4.5747 0.0000
-2.8135 0.0000 10.1790
Nd Tl Cd Te
2 2 2 6
Direct
0.1751 0.2500 0.1419
0.8249 0.7500 0.8581
0.2938 0.7500 0.7826
0.7062 0.2500 0.2174
0.4142 0.7500 0.3947
0.5858 0.2500 0.6053
0.0473 0.2500 0.8342
0.2706 0.2500 0.4705
0.4034 0.7500 0.1234
0.5966 0.2500 0.8766
0.7294 0.7500 0.5295
0.9527 0.7500 0.1658
```

Peak list (8 most intense, 10 to 90 degrees two-theta, in order of rising 2θ)
2θ = 26.3°, I 71; 2θ = 27.2°, I 100; 2θ = 27.5°, I 68; 2θ = 30.4°, I 41; 2θ = 32.2°, I 24; 2θ = 35.5°, I 24; 2θ = 39.4°, I 42; 2θ = 40.7°, I 44

---

# 5
Diffraction record for BaY2O. The X-ray diffraction stick pattern is calculated, not measured: it uses the GGA-PBE geometry in Alexandria and CuKα.

```
BaY2O
1.0
7.3353 0.0000 0.0000
0.0000 7.3353 0.0000
0.0000 0.0000 10.3754
Ba Y O
4 8 4
Direct
0.0000 0.0000 0.0000
0.0000 0.5000 0.2500
0.5000 0.0000 0.7500
0.5000 0.5000 0.5000
0.0012 0.7500 0.6250
0.2500 0.0012 0.3750
0.2500 0.4988 0.8750
0.4988 0.7500 0.1250
0.5012 0.2500 0.1250
0.7500 0.5012 0.8750
0.7500 0.9988 0.3750
0.9988 0.2500 0.6250
0.0000 0.0000 0.5000
0.0000 0.5000 0.7500
0.5000 0.0000 0.2500
0.5000 0.5000 0.0000
```

Peak list (8 most intense, 10 to 90 degrees two-theta, in order of rising 2θ)
2θ = 24.3°, I 57; 2θ = 28.5°, I 100; 2θ = 29.8°, I 33; 2θ = 42.7°, I 24; 2θ = 45.4°, I 37; 2θ = 49.7°, I 38; 2θ = 59.1°, I 14; 2θ = 69.6°, I 24

---

# 6
Diffraction record for TbSm12Er3. The X-ray diffraction stick pattern is calculated, not measured: it uses the GGA-PBE geometry in Alexandria and CuKα.

```
TbSm12Er3
1.0
5.0926 0.0000 0.0000
0.0000 5.0926 0.0000
0.0000 0.0000 20.3347
Tb Sm Er
1 12 3
Direct
0.0000 0.0000 0.0000
0.0000 0.5000 0.1256
0.0000 0.5000 0.3752
0.0000 0.5000 0.6248
0.0000 0.5000 0.8744
0.5000 0.0000 0.1256
0.5000 0.0000 0.3752
0.5000 0.0000 0.6248
0.5000 0.0000 0.8744
0.5000 0.5000 0.0000
0.5000 0.5000 0.2506
0.5000 0.5000 0.5000
0.5000 0.5000 0.7494
0.0000 0.0000 0.2505
0.0000 0.0000 0.5000
0.0000 0.0000 0.7495
```

Peak list (8 most intense, 10 to 90 degrees two-theta, in order of rising 2θ)
2θ = 30.4°, I 100; 2θ = 35.3°, I 51; 2θ = 50.7°, I 36; 2θ = 60.3°, I 43; 2θ = 63.3°, I 12; 2θ = 82.6°, I 18; 2θ = 85.2°, I 11; 2θ = 85.4°, I 5

---

# 7
Diffraction record for Pr2Ti3Cl2O8. The X-ray diffraction stick pattern is calculated, not measured: it uses the GGA-PBE geometry in Alexandria and CuKα.

```
Pr2Ti3Cl2O8
1.0
15.0737 0.0000 0.0000
0.0000 11.7543 0.0000
0.0000 0.0000 5.0662
Pr Ti Cl O
8 12 8 32
Direct
0.1643 0.1374 0.0230
0.1643 0.8626 0.5230
0.3357 0.3626 0.5230
0.3357 0.6374 0.0230
0.6643 0.3626 0.9770
0.6643 0.6374 0.4770
0.8357 0.1374 0.4770
0.8357 0.8626 0.9770
0.0000 0.4075 0.7500
0.0000 0.5925 0.2500
0.1609 0.4233 0.1285
0.1609 0.5767 0.6285
0.3391 0.0767 0.6285
0.3391 0.9233 0.1285
0.5000 0.0925 0.2500
0.5000 0.9075 0.7500
0.6609 0.0767 0.8715
0.6609 0.9233 0.3715
0.8391 0.4233 0.3715
0.8391 0.5767 0.8715
0.0791 0.0999 0.5203
0.0791 0.9001 0.0203
0.4209 0.4001 0.0203
0.4209 0.5999 0.5203
0.5791 0.4001 0.4797
0.5791 0.5999 0.9797
0.9209 0.0999 0.9797
0.9209 0.9001 0.4797
0.0758 0.4552 0.4381
0.0758 0.5448 0.9381
0.0807 0.3178 0.9254
0.0807 0.6822 0.4254
0.2191 0.2999 0.2506
0.2191 0.7001 0.7506
0.2348 0.4685 0.8276
0.2348 0.5315 0.3276
0.2652 0.0315 0.3276
0.2652 0.9685 0.8276
0.2809 0.2001 0.7506
0.2809 0.7999 0.2506
0.4193 0.1822 0.4254
0.4193 0.8178 0.9254
0.4242 0.0448 0.9381
0.4242 0.9552 0.4381
0.5758 0.0448 0.5619
0.5758 0.9552 0.0619
0.5807 0.1822 0.0746
0.5807 0.8178 0.5746
0.7191 0.2001 0.7494
0.7191 0.7999 0.2494
0.7348 0.0315 0.1724
0.7348 0.9685 0.6724
0.7652 0.4685 0.6724
0.7652 0.5315 0.1724
0.7809 0.2999 0.2494
0.7809 0.7001 0.7494
0.9193 0.3178 0.5746
0.9193 0.6822 0.0746
0.9242 0.4552 0.0619
0.9242 0.5448 0.5619
```

Peak list (8 most intense, 10 to 90 degrees two-theta, in order of rising 2θ)
2θ = 11.7°, I 37; 2θ = 22.5°, I 100; 2θ = 23.9°, I 48; 2θ = 28.9°, I 43; 2θ = 30.4°, I 37; 2θ = 30.5°, I 61; 2θ = 37.6°, I 51; 2θ = 38.0°, I 40

---

# 8
Diffraction record for TmGa4CoIr2. The X-ray diffraction stick pattern is calculated, not measured: it uses the GGA-PBE geometry in Alexandria and CuKα.

```
TmGa4CoIr2
1.0
2.1030 1.2142 8.3390
-2.1030 1.2142 8.3390
0.0000 -2.4284 8.3390
Tm Ga Co Ir
1 4 1 2
Direct
0.0000 0.0000 0.0000
0.1334 0.1334 0.1334
0.3989 0.3989 0.3989
0.6011 0.6011 0.6011
0.8666 0.8666 0.8666
0.5000 0.5000 0.5000
0.2375 0.2375 0.2375
0.7625 0.7625 0.7625
```

Peak list (8 most intense, 10 to 90 degrees two-theta, in order of rising 2θ)
2θ = 28.4°, I 39; 2θ = 30.4°, I 33; 2θ = 37.9°, I 92; 2θ = 43.0°, I 100; 2θ = 47.1°, I 18; 2θ = 58.7°, I 25; 2θ = 75.4°, I 24; 2θ = 78.8°, I 17